No. 1
Starting from a PBE-relaxed structure, the X-ray powder pattern of Ac2Er2Mg15 was calculated for Cu Kα (λ = 1.5418 Å).
Peak positions follow from Bragg's law for the DFT cell and can differ from measured ones.

Largest 10 diffraction maxima, sorted by position, 15° ≤ 2θ ≤ 90°:
2θ = 16.6°, I = 100
2θ = 24.0°, I = 26
2θ = 25.0°, I = 23
2θ = 29.0°, I = 47
2θ = 30.2°, I = 24
2θ = 33.6°, I = 43
2θ = 33.9°, I = 27
2θ = 34.6°, I = 25
2θ = 34.9°, I = 22
2θ = 45.0°, I = 19

Cell and atoms:
abc: 8.030 8.030 8.030
angles: 83.25 83.25 83.25
Element x y z (fractional)
Ac (0.163, 0.163, 0.163)
Ac (0.837, 0.837, 0.837)
Er (0.400, 0.400, 0.400)
Er (0.600, 0.600, 0.600)
Mg (0.000, 0.500, 0.500)
Mg (0.146, 0.146, 0.652)
Mg (0.146, 0.652, 0.146)
Mg (0.209, 0.500, 0.791)
Mg (0.209, 0.791, 0.500)
Mg (0.348, 0.854, 0.854)
Mg (0.500, 0.000, 0.500)
Mg (0.500, 0.209, 0.791)
Mg (0.500, 0.500, 0.000)
Mg (0.500, 0.791, 0.209)
Mg (0.652, 0.146, 0.146)
Mg (0.791, 0.209, 0.500)
Mg (0.791, 0.500, 0.209)
Mg (0.854, 0.348, 0.854)
Mg (0.854, 0.854, 0.348)

---

No. 2
Starting from a PBE-relaxed structure, the X-ray powder pattern of SrAcErMg was calculated for Cu Kα (λ = 1.5418 Å).
Peak positions follow from Bragg's law for the DFT cell and can differ from measured ones.

Largest 10 diffraction maxima, sorted by position, 15° ≤ 2θ ≤ 90°:
2θ = 18.3°, I = 38
2θ = 30.2°, I = 100
2θ = 35.5°, I = 23
2θ = 43.2°, I = 19
2θ = 47.3°, I = 10
2θ = 53.6°, I = 40
2θ = 57.1°, I = 8
2θ = 62.8°, I = 13
2θ = 71.2°, I = 17
2θ = 87.1°, I = 21

Cell and atoms:
abc: 8.376 8.376 8.376
angles: 90.00 90.00 90.00
Element x y z (fractional)
Sr (0.000, 0.000, 0.000)
Sr (0.000, 0.500, 0.500)
Sr (0.500, 0.000, 0.500)
Sr (0.500, 0.500, 0.000)
Ac (0.250, 0.250, 0.250)
Ac (0.250, 0.750, 0.750)
Ac (0.750, 0.250, 0.750)
Ac (0.750, 0.750, 0.250)
Er (0.000, 0.000, 0.500)
Er (0.000, 0.500, 0.000)
Er (0.500, 0.000, 0.000)
Er (0.500, 0.500, 0.500)
Mg (0.250, 0.250, 0.750)
Mg (0.250, 0.750, 0.250)
Mg (0.750, 0.250, 0.250)
Mg (0.750, 0.750, 0.750)

---

No. 3
Starting from a PBE-relaxed structure, the X-ray powder pattern of AcErNbN3 was calculated for Cu Kα (λ = 1.5418 Å).
Peak positions follow from Bragg's law for the DFT cell and can differ from measured ones.

Largest 10 diffraction maxima, sorted by position, 15° ≤ 2θ ≤ 90°:
2θ = 16.9°, I = 31
2θ = 27.2°, I = 31
2θ = 27.6°, I = 50
2θ = 30.2°, I = 61
2θ = 32.8°, I = 38
2θ = 33.6°, I = 82
2θ = 34.9°, I = 100
2θ = 35.7°, I = 31
2θ = 46.4°, I = 25
2θ = 57.5°, I = 22

Cell and atoms:
abc: 7.611 3.514 8.253
angles: 90.00 96.98 90.00
Element x y z (fractional)
Ac (0.171, 0.250, 0.182)
Ac (0.829, 0.750, 0.818)
Er (0.374, 0.750, 0.861)
Er (0.626, 0.250, 0.139)
Nb (0.118, 0.250, 0.587)
Nb (0.882, 0.750, 0.413)
N (0.145, 0.250, 0.834)
N (0.169, 0.750, 0.464)
N (0.411, 0.750, 0.129)
N (0.589, 0.250, 0.871)
N (0.831, 0.250, 0.536)
N (0.855, 0.750, 0.166)

---

No. 4
Starting from a PBE-relaxed structure, the X-ray powder pattern of Ac4ErPa3N8 was calculated for Cu Kα (λ = 1.5418 Å).
Peak positions follow from Bragg's law for the DFT cell and can differ from measured ones.

Largest 10 diffraction maxima, sorted by position, 15° ≤ 2θ ≤ 90°:
2θ = 28.8°, I = 39
2θ = 30.1°, I = 100
2θ = 34.5°, I = 89
2θ = 48.7°, I = 33
2θ = 50.5°, I = 31
2θ = 57.6°, I = 19
2θ = 59.2°, I = 33
2θ = 59.9°, I = 15
2θ = 62.6°, I = 16
2θ = 81.8°, I = 14

Cell and atoms:
abc: 7.481 7.481 7.481
angles: 57.77 57.77 57.77
Element x y z (fractional)
Ac (0.000, 0.000, 0.000)
Ac (0.000, 0.500, 0.500)
Ac (0.500, 0.000, 0.500)
Ac (0.500, 0.500, 0.000)
Er (0.500, 0.500, 0.500)
Pa (0.000, 0.000, 0.500)
Pa (0.000, 0.500, 0.000)
Pa (0.500, 0.000, 0.000)
N (0.219, 0.736, 0.736)
N (0.229, 0.229, 0.229)
N (0.264, 0.264, 0.781)
N (0.264, 0.781, 0.264)
N (0.736, 0.219, 0.736)
N (0.736, 0.736, 0.219)
N (0.771, 0.771, 0.771)
N (0.781, 0.264, 0.264)

---

No. 5
Starting from a PBE-relaxed structure, the X-ray powder pattern of Ac2ErRe2N6 was calculated for Cu Kα (λ = 1.5418 Å).
Peak positions follow from Bragg's law for the DFT cell and can differ from measured ones.

Largest 10 diffraction maxima, sorted by position, 15° ≤ 2θ ≤ 90°:
2θ = 30.0°, I = 100
2θ = 30.3°, I = 100
2θ = 43.1°, I = 41
2θ = 53.0°, I = 18
2θ = 53.6°, I = 42
2θ = 53.8°, I = 21
2θ = 63.0°, I = 15
2θ = 70.8°, I = 15
2θ = 71.3°, I = 17
2θ = 87.4°, I = 11

Cell and atoms:
abc: 7.004 7.004 7.004
angles: 49.84 49.84 49.84
Element x y z (fractional)
Ac (0.212, 0.212, 0.212)
Ac (0.788, 0.788, 0.788)
Er (0.000, 0.000, 0.000)
Re (0.400, 0.400, 0.400)
Re (0.600, 0.600, 0.600)
N (0.232, 0.745, 0.745)
N (0.255, 0.255, 0.768)
N (0.255, 0.768, 0.255)
N (0.745, 0.232, 0.745)
N (0.745, 0.745, 0.232)
N (0.768, 0.255, 0.255)

---

No. 6
Starting from a PBE-relaxed structure, the X-ray powder pattern of NaAc2ErSe4 was calculated for Cu Kα (λ = 1.5418 Å).
Peak positions follow from Bragg's law for the DFT cell and can differ from measured ones.

Largest 10 diffraction maxima, sorted by position, 15° ≤ 2θ ≤ 90°:
2θ = 24.2°, I = 13
2θ = 25.4°, I = 10
2θ = 29.3°, I = 100
2θ = 41.8°, I = 26
2θ = 41.9°, I = 25
2θ = 42.2°, I = 24
2θ = 52.1°, I = 14
2θ = 68.7°, I = 12
2θ = 69.3°, I = 10
2θ = 76.8°, I = 8

Cell and atoms:
abc: 7.412 4.303 7.501
angles: 90.00 109.33 90.00
Element x y z (fractional)
Na (0.000, 0.000, 0.000)
Ac (0.500, 0.000, 0.500)
Ac (0.500, 0.500, 0.000)
Er (0.000, 0.500, 0.500)
Se (0.222, 0.000, 0.736)
Se (0.229, 0.500, 0.251)
Se (0.771, 0.500, 0.749)
Se (0.778, 0.000, 0.264)